No. 1
Diffraction record for MnCu2Br6. The XRD peak list is simulated, not measured: it uses a structure optimized by DFT (GGA-PBE) and Cu Kα X-rays.
Kinematic intensities with the Lorentz-polarization factor, no thermal factor.

Atomic structure:
```
MnCu2Br6
1.0
6.2626 -5.6117 0.0000
6.2626 5.6117 0.0000
-0.8124 0.0000 7.0133
Mn Cu Br
2 4 12
Direct
0.0934 0.9066 0.7500
0.9066 0.0934 0.2500
0.2418 0.3945 0.6773
0.3945 0.2418 0.1773
0.6055 0.7582 0.8227
0.7582 0.6055 0.3227
0.0426 0.1852 0.6214
0.1202 0.6331 0.8560
0.1852 0.0426 0.1214
0.2861 0.4636 0.3704
0.3669 0.8798 0.6440
0.4636 0.2861 0.8704
0.5364 0.7139 0.1296
0.6331 0.1202 0.3560
0.7139 0.5364 0.6296
0.8148 0.9574 0.8786
0.8798 0.3669 0.1440
0.9574 0.8148 0.3786
```

Main lines, low angle first (2θ from 15° to 90°):
d 5.594, 15.84 deg, I 32; d 3.217, 27.73 deg, I 43; d 3.148, 28.35 deg, I 100; d 3.111, 28.70 deg, I 50; d 2.915, 30.67 deg, I 33; d 2.654, 33.78 deg, I 51; d 1.988, 45.63 deg, I 59; d 1.937, 46.90 deg, I 54

***

No. 2
Diffraction record for Sb3P2. The XRD peak list is simulated, not measured: it uses a structure optimized by DFT (GGA-PBE) and Cu Kα X-rays.
Kinematic intensities with the Lorentz-polarization factor, no thermal factor.

Atomic structure:
```
Sb3P2
1.0
2.0179 1.1650 8.3958
-2.0179 1.1650 8.3958
0.0000 -2.3301 8.3958
Sb P
3 2
Direct
0.0000 0.0000 0.0000
0.2059 0.2059 0.2059
0.7941 0.7941 0.7941
0.3968 0.3968 0.3968
0.6032 0.6032 0.6032
```

Main lines, low angle first (2θ from 15° to 90°):
d 3.462, 25.73 deg, I 17; d 3.056, 29.22 deg, I 20; d 2.872, 31.15 deg, I 100; d 2.043, 44.33 deg, I 35; d 2.018, 44.92 deg, I 36; d 1.651, 55.67 deg, I 18; d 1.291, 73.35 deg, I 14; d 1.278, 74.21 deg, I 16

***

No. 3
Diffraction record for Al2NiRh. The XRD peak list is simulated, not measured: it uses a structure optimized by DFT (GGA-PBE) and Cu Kα X-rays.
Kinematic intensities with the Lorentz-polarization factor, no thermal factor.

Atomic structure:
```
Al2NiRh
1.0
4.2033 0.0000 0.0000
0.0000 2.9285 0.0000
0.0000 0.0000 8.4001
Al Ni Rh
4 2 2
Direct
0.2500 0.0000 0.1162
0.2500 0.0000 0.6312
0.7500 0.0000 0.3688
0.7500 0.0000 0.8838
0.2500 0.5000 0.8734
0.7500 0.5000 0.1266
0.2500 0.5000 0.3719
0.7500 0.5000 0.6281
```

Main lines, low angle first (2θ from 15° to 90°):
d 2.971, 30.08 deg, I 38; d 2.929, 30.53 deg, I 18; d 2.101, 43.06 deg, I 51; d 2.086, 43.39 deg, I 100; d 1.707, 53.70 deg, I 14; d 1.486, 62.52 deg, I 16; d 1.210, 79.16 deg, I 32; d 1.201, 79.85 deg, I 16

***

No. 4
Diffraction record for SrPbAu6. The XRD peak list is simulated, not measured: it uses a structure optimized by DFT (GGA-PBE) and Cu Kα X-rays.
Kinematic intensities with the Lorentz-polarization factor, no thermal factor.

Atomic structure:
```
SrPbAu6
1.0
5.6073 0.0000 0.0000
0.0000 5.6073 0.0000
0.0000 0.0000 5.6073
Sr Pb Au
1 1 6
Direct
0.0000 0.0000 0.0000
0.5000 0.5000 0.5000
0.0000 0.2506 0.5000
0.0000 0.7494 0.5000
0.2506 0.5000 0.0000
0.5000 0.0000 0.2506
0.5000 0.0000 0.7494
0.7494 0.5000 0.0000
```

Main lines, low angle first (2θ from 15° to 90°):
d 2.804, 31.92 deg, I 25; d 2.508, 35.81 deg, I 100; d 2.289, 39.36 deg, I 57; d 1.619, 56.88 deg, I 11; d 1.555, 59.43 deg, I 24; d 1.499, 61.92 deg, I 31; d 1.402, 66.73 deg, I 14; d 1.224, 78.11 deg, I 22

***

No. 5
Diffraction record for Ac2La5Sm2. The XRD peak list is simulated, not measured: it uses a structure optimized by DFT (GGA-PBE) and Cu Kα X-rays.
Kinematic intensities with the Lorentz-polarization factor, no thermal factor.

Atomic structure:
```
Ac2La5Sm2
1.0
9.2927 -1.8566 0.0000
9.2927 1.8566 0.0000
-2.4528 0.0000 10.0125
Ac La Sm
2 5 2
Direct
0.0153 0.0153 0.1839
0.9847 0.9847 0.8161
0.1624 0.1624 0.7060
0.3380 0.3380 0.9726
0.5000 0.5000 0.5000
0.6620 0.6620 0.0274
0.8376 0.8376 0.2940
0.3282 0.3282 0.5945
0.6718 0.6718 0.4055
```

Main lines, low angle first (2θ from 15° to 90°):
d 3.367, 26.47 deg, I 45; d 3.160, 28.24 deg, I 33; d 3.053, 29.25 deg, I 87; d 3.010, 29.68 deg, I 100; d 2.913, 30.69 deg, I 73; d 2.878, 31.08 deg, I 87; d 2.617, 34.27 deg, I 51; d 1.827, 49.92 deg, I 32

***

No. 6
Diffraction record for Ba2HAu. The XRD peak list is simulated, not measured: it uses a structure optimized by DFT (GGA-PBE) and Cu Kα X-rays.
Kinematic intensities with the Lorentz-polarization factor, no thermal factor.

Atomic structure:
```
Ba2HAu
1.0
2.9451 -7.2627 0.0000
2.9451 7.2627 0.0000
0.0000 0.0000 5.9043
Ba H Au
4 2 2
Direct
0.1171 0.3469 0.0000
0.3469 0.1171 0.5000
0.6531 0.8829 0.5000
0.8829 0.6531 0.0000
0.0000 0.0000 0.2500
0.0000 0.0000 0.7500
0.0000 0.5000 0.5000
0.5000 0.0000 0.0000
```

Main lines, low angle first (2θ from 15° to 90°):
d 3.160, 28.24 deg, I 100; d 2.949, 30.31 deg, I 51; d 2.384, 37.74 deg, I 27; d 2.085, 43.40 deg, I 19; d 1.871, 48.66 deg, I 12; d 1.740, 52.59 deg, I 35; d 1.569, 58.84 deg, I 15; d 1.546, 59.82 deg, I 13

***

What is the formula in the third record? Al2NiRh

***

Which formula does entry 6 have? Ba2HAu